Entry 1:
Starting from a cell relaxed with GGA-PBE, the powder XRD pattern of Zr2Sc2Cd was computed for copper Kα.
Lines closer than 0.1° are merged.

Peak list (10 most intense, 5° ≤ 2θ ≤ 70°, most intense first)
2θ/deg  d [Å]  I_rel
34.3  2.618  100
34.5  2.600  96
39.3  2.292  33
39.4  2.285  33
41.0  2.204  30
58.1  1.589  20
58.2  1.586  20
20.9  4.251  19
22.1  4.025  16
67.9  1.381  12

Structural model:
Lattice parameters (Å, degrees): 8.498 8.498 3.254 100.85 100.85 30.06
Sites, in units of the cell vectors:
Zr (0.207, 0.207, 0.207)
Zr (0.793, 0.793, 0.793)
Sc (0.400, 0.400, 0.399)
Sc (0.600, 0.600, 0.601)
Cd (0.000, 0.000, 0.000)

---

Entry 2:
Starting from a cell relaxed with GGA-PBE, the powder XRD pattern of Zr2Sc3Cd3 was computed for copper Kα.
Lines closer than 0.1° are merged.

Peak list (10 most intense, 5° ≤ 2θ ≤ 70°, most intense first)
2θ/deg  d [Å]  I_rel
36.2  2.483  100
35.5  2.528  28
34.1  2.627  25
64.2  1.451  17
50.1  1.821  16
21.7  4.099  14
62.4  1.488  12
66.4  1.409  8
54.0  1.697  8
26.6  3.350  7

Structural model:
Lattice parameters (Å, degrees): 10.941 10.941 10.941 162.16 153.29 32.31
Sites, in units of the cell vectors:
Zr (0.237, 0.237, 0.000)
Zr (0.763, 0.763, 0.000)
Sc (0.000, 0.000, 0.000)
Sc (0.370, 0.870, 0.500)
Sc (0.630, 0.130, 0.500)
Cd (0.116, 0.616, 0.500)
Cd (0.500, 0.500, 0.000)
Cd (0.884, 0.384, 0.500)

---

Entry 3:
Starting from a cell relaxed with GGA-PBE, the powder XRD pattern of Zr4ScCd10 was computed for copper Kα.
Lines closer than 0.1° are merged.

Peak list (10 most intense, 5° ≤ 2θ ≤ 70°, most intense first)
2θ/deg  d [Å]  I_rel
36.8  2.440  100
35.5  2.525  88
52.1  1.755  28
47.1  1.929  21
66.4  1.409  17
28.3  3.150  15
65.5  1.425  14
65.6  1.424  14
58.6  1.575  8
21.0  4.226  4

Structural model:
Lattice parameters (Å, degrees): 7.964 7.964 5.814 99.91 99.91 64.07
Sites, in units of the cell vectors:
Zr (0.101, 0.101, 0.404)
Zr (0.295, 0.295, 0.202)
Zr (0.705, 0.705, 0.798)
Zr (0.899, 0.899, 0.596)
Sc (0.500, 0.500, 0.000)
Cd (0.068, 0.733, 0.100)
Cd (0.133, 0.466, 0.701)
Cd (0.267, 0.932, 0.900)
Cd (0.334, 0.666, 0.500)
Cd (0.466, 0.133, 0.701)
Cd (0.534, 0.867, 0.299)
Cd (0.666, 0.334, 0.500)
Cd (0.733, 0.068, 0.100)
Cd (0.867, 0.534, 0.299)
Cd (0.932, 0.267, 0.900)

---

Entry 4:
Starting from a cell relaxed with GGA-PBE, the powder XRD pattern of Zr4Sc2Cd5 was computed for copper Kα.
Lines closer than 0.1° are merged.

Peak list (10 most intense, 5° ≤ 2θ ≤ 70°, most intense first)
2θ/deg  d [Å]  I_rel
35.2  2.550  100
36.0  2.492  88
36.4  2.469  87
34.5  2.599  57
38.9  2.316  43
33.6  2.671  40
33.4  2.682  32
54.3  1.689  31
39.1  2.306  28
58.5  1.577  27

Structural model:
Lattice parameters (Å, degrees): 3.154 7.746 10.492 89.00 89.80 78.50
Sites, in units of the cell vectors:
Zr (0.193, 0.117, 0.092)
Zr (0.221, 0.061, 0.380)
Zr (0.779, 0.939, 0.620)
Zr (0.807, 0.883, 0.908)
Sc (0.135, 0.228, 0.806)
Sc (0.865, 0.772, 0.194)
Cd (0.405, 0.678, 0.445)
Cd (0.443, 0.607, 0.733)
Cd (0.500, 0.500, 0.000)
Cd (0.557, 0.393, 0.267)
Cd (0.595, 0.322, 0.555)

---

Entry 5:
Starting from a cell relaxed with GGA-PBE, the powder XRD pattern of ZrScCd3 was computed for copper Kα.
Lines closer than 0.1° are merged.

Peak list (10 most intense, 5° ≤ 2θ ≤ 70°, most intense first)
2θ/deg  d [Å]  I_rel
35.0  2.561  100
39.9  2.260  35
59.5  1.554  20
42.2  2.140  15
69.2  1.357  13
69.4  1.355  13
57.7  1.598  11
28.2  3.161  4
16.6  5.351  4
8.3  10.702  2

Structural model:
Lattice parameters (Å, degrees): 10.939 10.939 4.516 90.00 90.00 156.13
Sites, in units of the cell vectors:
Zr (0.149, 0.851, 0.750)
Zr (0.851, 0.149, 0.250)
Sc (0.350, 0.650, 0.750)
Sc (0.650, 0.350, 0.250)
Cd (0.049, 0.951, 0.250)
Cd (0.250, 0.750, 0.250)
Cd (0.449, 0.551, 0.250)
Cd (0.551, 0.449, 0.750)
Cd (0.750, 0.250, 0.750)
Cd (0.951, 0.049, 0.750)

---

Entry 6:
Starting from a cell relaxed with GGA-PBE, the powder XRD pattern of Cd3Se4 was computed for copper Kα.
Lines closer than 0.1° are merged.

Peak list (10 most intense, 5° ≤ 2θ ≤ 70°, most intense first)
2θ/deg  d [Å]  I_rel
20.1  4.427  100
19.1  4.640  83
12.8  6.901  82
10.0  8.853  62
39.5  2.281  60
17.2  5.162  58
10.4  8.466  53
34.4  2.606  51
44.4  2.039  51
14.7  6.040  45

Structural model:
Lattice parameters (Å, degrees): 12.027 12.027 10.382 109.71 109.71 45.39
Sites, in units of the cell vectors:
Cd (0.108, 0.496, 0.117)
Cd (0.166, 0.751, 0.348)
Cd (0.169, 0.831, 0.000)
Cd (0.290, 0.949, 0.795)
Cd (0.423, 0.839, 0.448)
Cd (0.496, 0.108, 0.117)
Cd (0.578, 0.985, 0.697)
Cd (0.751, 0.166, 0.348)
Cd (0.831, 0.169, 0.000)
Cd (0.839, 0.423, 0.448)
Cd (0.949, 0.290, 0.795)
Cd (0.985, 0.578, 0.697)
Se (0.016, 0.016, 0.233)
Se (0.040, 0.779, 0.751)
Se (0.104, 0.365, 0.466)
Se (0.106, 0.106, 0.988)
Se (0.354, 0.744, 0.577)
Se (0.365, 0.104, 0.466)
Se (0.369, 0.369, 0.283)
Se (0.395, 0.661, 0.199)
Se (0.537, 0.926, 0.889)
Se (0.661, 0.395, 0.199)
Se (0.714, 0.974, 0.343)
Se (0.725, 0.725, 0.490)
Se (0.744, 0.354, 0.577)
Se (0.779, 0.040, 0.751)
Se (0.926, 0.537, 0.889)
Se (0.974, 0.714, 0.343)